# 1
Calculated X-ray powder pattern of NaCdS2N for a wavelength of 1.5418 Å, from a PBE-relaxed structure.
Kinematic intensities with the Lorentz-polarization factor, no thermal factor.

Structural model:
```
5
Lattice="5.1357 0.0000 0.0000 0.0000 5.1357 0.0000 0.0000 0.0000 4.3697" Properties=species:S:1:pos:R:3 pbc="T T T"
Na 0.0000 0.0000 0.0000
Cd 2.5679 2.5679 2.1848
S 0.0000 2.5679 2.1848
S 2.5679 0.0000 2.1848
N 2.5679 2.5679 0.0000
```

Most intense lines, 15° ≤ 2θ ≤ 90°, in order of rising 2θ:
| 2theta | intensity |
| --- | --- |
| 17.3 | 100.0 |
| 20.3 | 65.4 |
| 24.5 | 28.1 |
| 26.8 | 97.4 |
| 34.9 | 74.2 |
| 39.2 | 23.9 |
| 40.8 | 40.4 |
| 44.6 | 49.4 |
| 50.2 | 24.2 |
| 55.2 | 35.7 |

---

# 2
Calculated X-ray powder pattern of CsAs6Se8 for a wavelength of 1.5418 Å, from a PBE-relaxed structure.
Kinematic intensities with the Lorentz-polarization factor, no thermal factor.

Structural model:
```
15
Lattice="5.8289 3.3653 4.5633 -5.8289 3.3653 4.5633 0.0000 -6.7306 4.5633" Properties=species:S:1:pos:R:3 pbc="T T T"
Cs 0.0000 0.0000 0.0000
As -1.4196 -1.5022 5.4924
As -0.5911 1.9805 5.4924
As -2.0108 0.4784 8.1976
As 2.0107 -0.4784 5.4924
As 0.5911 -1.9805 8.1976
As 1.4196 1.5022 8.1977
Se -3.4623 -0.2460 5.5179
Se 0.0000 0.0000 3.9806
Se -1.5181 -3.1214 8.1721
Se 1.9442 -2.8754 5.5179
Se -1.9442 2.8754 8.1721
Se 1.5181 3.1214 5.5179
Se 0.0000 0.0000 9.7094
Se 3.4623 0.2460 8.1721
```

Most intense lines, 15° ≤ 2θ ≤ 90°, in order of rising 2θ:
| 2theta | intensity |
| --- | --- |
| 18.7 | 87.4 |
| 19.5 | 56.3 |
| 24.8 | 81.1 |
| 26.5 | 78.1 |
| 33.1 | 52.9 |
| 35.2 | 65.3 |
| 36.6 | 100.0 |
| 39.5 | 36.2 |
| 47.4 | 35.9 |
| 50.8 | 43.9 |

---

# 3
Calculated X-ray powder pattern of Ta4Nb5Re for a wavelength of 1.5418 Å, from a PBE-relaxed structure.
Kinematic intensities with the Lorentz-polarization factor, no thermal factor.

Structural model:
```
10
Lattice="3.2728 0.0000 0.0000 0.0000 3.2728 0.0000 0.0000 0.0000 16.6420" Properties=species:S:1:pos:R:3 pbc="T T T"
Ta 0.0000 0.0000 1.6848
Ta 0.0000 0.0000 5.0380
Ta 0.0000 0.0000 11.6040
Ta 0.0000 0.0000 14.9572
Nb 1.6364 1.6364 0.0000
Nb 1.6364 1.6364 3.3756
Nb 1.6364 1.6364 6.7490
Nb 1.6364 1.6364 9.8930
Nb 1.6364 1.6364 13.2664
Re 0.0000 0.0000 8.3210
```

Most intense lines, 15° ≤ 2θ ≤ 90°, in order of rising 2θ:
| 2theta | intensity |
| --- | --- |
| 26.8 | 5.9 |
| 27.2 | 11.3 |
| 38.6 | 100.0 |
| 38.9 | 49.2 |
| 55.2 | 8.6 |
| 56.2 | 16.9 |
| 69.6 | 17.2 |
| 70.3 | 34.2 |
| 82.7 | 10.8 |
| 83.6 | 5.4 |

---

# 4
Calculated X-ray powder pattern of Nd6Ag5Pd for a wavelength of 1.5418 Å, from a PBE-relaxed structure.
Kinematic intensities with the Lorentz-polarization factor, no thermal factor.

Structural model:
```
12
Lattice="5.2788 0.0000 0.0000 0.0000 7.4750 0.0000 -2.6113 0.0000 7.9182" Properties=species:S:1:pos:R:3 pbc="T T T"
Nd 0.0000 1.8041 0.0000
Nd 0.0000 5.6709 0.0000
Nd 0.0192 1.8424 5.3556
Nd 0.0192 5.6326 5.3556
Nd 2.6483 1.8424 2.5625
Nd 2.6483 5.6326 2.5625
Ag 0.0097 3.7375 2.6631
Ag 0.0098 0.0000 2.7582
Ag 2.6394 3.7375 0.0000
Ag 2.6577 0.0000 5.1600
Ag 2.6578 3.7375 5.2550
Pd 2.6394 0.0000 0.0000
```

Most intense lines, 15° ≤ 2θ ≤ 90°, in order of rising 2θ:
| 2theta | intensity |
| --- | --- |
| 23.8 | 1.9 |
| 34.0 | 100.0 |
| 48.7 | 11.8 |
| 48.9 | 5.8 |
| 60.7 | 23.7 |
| 60.8 | 11.7 |
| 71.4 | 3.6 |
| 71.5 | 7.1 |
| 81.4 | 10.0 |
| 81.7 | 4.9 |

---

# 5
Calculated X-ray powder pattern of Ga2AgI5 for a wavelength of 1.5418 Å, from a PBE-relaxed structure.
Kinematic intensities with the Lorentz-polarization factor, no thermal factor.

Structural model:
```
16
Lattice="2.1548 -9.9936 0.0000 2.1548 9.9936 0.0000 0.0000 0.0000 17.2837" Properties=species:S:1:pos:R:3 pbc="T T T"
Ga 2.1548 8.7980 11.7179
Ga 2.1548 8.7980 14.2076
Ga 2.1548 -8.7980 3.0761
Ga 2.1548 -8.7980 5.5658
Ag 2.1548 7.1466 4.3209
Ag 2.1548 -7.1466 12.9627
I 2.1548 8.8712 1.9588
I 2.1548 8.8712 6.6831
I 2.1548 4.5989 12.9627
I 2.1548 2.5718 2.0697
I 2.1548 2.5718 6.5721
I 2.1548 -2.5718 10.7115
I 2.1548 -2.5718 15.2140
I 2.1548 -4.5989 4.3209
I 2.1548 -8.8712 10.6006
I 2.1548 -8.8712 15.3249
```

Most intense lines, 15° ≤ 2θ ≤ 90°, in order of rising 2θ:
| 2theta | intensity |
| --- | --- |
| 17.8 | 50.4 |
| 22.4 | 69.0 |
| 23.6 | 83.7 |
| 25.1 | 80.8 |
| 26.2 | 54.3 |
| 27.3 | 60.5 |
| 31.0 | 100.0 |
| 32.3 | 79.3 |
| 43.4 | 79.4 |
| 44.4 | 79.3 |

---

# 6
Calculated X-ray powder pattern of Sm3Ho3Er for a wavelength of 1.5418 Å, from a PBE-relaxed structure.
Kinematic intensities with the Lorentz-polarization factor, no thermal factor.

Structural model:
```
14
Lattice="9.5763 0.0000 0.0000 -4.7881 8.2933 0.0000 0.0000 0.0000 5.7071" Properties=species:S:1:pos:R:3 pbc="T T T"
Sm -3.4018 6.6910 1.4268
Sm 0.6944 2.0018 1.4268
Sm 2.0808 0.3995 4.2803
Sm 2.7073 7.8938 1.4268
Sm 4.0937 6.2915 4.2803
Sm 8.1899 1.6023 4.2803
Ho -2.0475 5.1193 4.2803
Ho 1.3785 3.9604 4.2803
Ho 4.1191 0.7864 1.4268
Ho 0.6690 7.5068 4.2803
Ho 3.4097 4.3328 1.4268
Ho 6.8356 3.1740 1.4268
Er 0.0000 5.5289 1.4268
Er 4.7881 2.7644 4.2803
```

Most intense lines, 15° ≤ 2θ ≤ 90°, in order of rising 2θ:
| 2theta | intensity |
| --- | --- |
| 28.5 | 23.7 |
| 31.3 | 24.6 |
| 32.6 | 100.0 |
| 42.9 | 15.7 |
| 50.4 | 19.6 |
| 56.6 | 20.9 |
| 60.6 | 22.6 |
| 61.3 | 16.3 |
| 83.3 | 13.9 |
| 87.0 | 8.5 |

---

# 7
Calculated X-ray powder pattern of TlAsCl6 for a wavelength of 1.5418 Å, from a PBE-relaxed structure.
Kinematic intensities with the Lorentz-polarization factor, no thermal factor.

Structural model:
```
8
Lattice="6.7570 0.0000 0.0000 3.3549 5.8654 0.0000 0.0009 3.8887 6.1848" Properties=species:S:1:pos:R:3 pbc="T T T"
Tl 0.0000 0.0000 0.0000
As 3.3790 1.9444 3.0924
Cl 2.0788 3.2851 1.7680
Cl 4.9117 7.3547 4.4004
Cl 3.8854 3.7503 4.4039
Cl 6.2274 6.0038 1.7809
Cl 5.2011 2.3994 1.7843
Cl 8.0340 6.4690 4.4167
```

Most intense lines, 15° ≤ 2θ ≤ 90°, in order of rising 2θ:
| 2theta | intensity |
| --- | --- |
| 17.9 | 100.0 |
| 24.5 | 58.0 |
| 26.4 | 18.8 |
| 30.1 | 25.6 |
| 30.9 | 14.7 |
| 32.0 | 21.7 |
| 39.4 | 14.9 |
| 39.5 | 29.3 |
| 42.0 | 16.0 |
| 45.5 | 15.5 |

---

# 8
Calculated X-ray powder pattern of Mg2H7Ir2 for a wavelength of 1.5418 Å, from a PBE-relaxed structure.
Kinematic intensities with the Lorentz-polarization factor, no thermal factor.

Structural model:
```
22
Lattice="3.7803 -5.0163 0.0000 3.7803 5.0163 0.0000 -2.4441 0.0000 5.8259" Properties=species:S:1:pos:R:3 pbc="T T T"
Mg 0.4787 3.6891 5.8098
Mg 3.4157 3.6891 2.9290
Mg 1.7008 -3.6891 2.8968
Mg 4.6377 -3.6891 0.0161
H 0.9183 1.5829 2.1898
H 0.4032 1.5321 5.5536
H 0.2492 0.0771 4.2775
H 1.4712 -0.0771 1.3645
H -0.3037 -1.5829 5.1027
H 1.9472 0.9022 4.3694
H 3.4912 1.5321 3.1852
H 1.6253 -1.5321 2.6406
H 3.1692 -0.9022 1.4565
H 5.4202 1.5829 0.7231
H 3.6453 0.0771 4.4613
H 4.8673 -0.0771 1.5484
H 4.7132 -1.5321 0.2723
H 4.1981 -1.5829 3.6361
Ir 0.4275 1.6491 3.9273
Ir 1.6495 -1.6491 1.0144
Ir 3.4669 1.6491 4.8114
Ir 4.6889 -1.6491 1.8985
```

Most intense lines, 15° ≤ 2θ ≤ 90°, in order of rising 2θ:
| 2theta | intensity |
| --- | --- |
| 17.7 | 36.8 |
| 17.9 | 59.7 |
| 23.4 | 100.0 |
| 25.6 | 59.7 |
| 29.7 | 25.8 |
| 36.8 | 31.9 |
| 39.1 | 23.7 |
| 39.2 | 82.6 |
| 44.2 | 26.6 |
| 48.0 | 26.2 |

---

# 9
Calculated X-ray powder pattern of DyHo4In2 for a wavelength of 1.5418 Å, from a PBE-relaxed structure.
Kinematic intensities with the Lorentz-polarization factor, no thermal factor.

Structural model:
```
14
Lattice="6.6490 0.0000 0.0000 0.0000 10.6323 0.0000 -3.2197 0.0000 6.0156" Properties=species:S:1:pos:R:3 pbc="T T T"
Dy 0.0000 0.0000 0.0000
Dy -1.6099 5.3161 3.0078
Ho -1.2391 1.7929 3.1566
Ho 0.3708 3.5232 0.1488
Ho 1.2621 7.8152 2.7778
Ho -0.3478 8.1332 5.7856
Ho 3.7771 2.4991 0.2300
Ho 2.1672 2.8171 3.2377
Ho 3.0585 7.1090 5.8667
Ho 4.6684 8.8394 2.8589
In 2.4440 5.4465 1.2609
In 0.8341 10.5019 4.2687
In 2.5952 0.1304 1.7469
In 0.9854 5.1858 4.7547
```

Most intense lines, 15° ≤ 2θ ≤ 90°, in order of rising 2θ:
| 2theta | intensity |
| --- | --- |
| 29.6 | 100.0 |
| 29.7 | 46.0 |
| 30.5 | 77.5 |
| 31.2 | 74.9 |
| 31.7 | 72.6 |
| 34.3 | 49.1 |
| 35.4 | 43.3 |
| 36.3 | 62.6 |
| 37.1 | 58.2 |
| 58.7 | 40.1 |

---

# 10
Calculated X-ray powder pattern of Pm5Ge2P2 for a wavelength of 1.5418 Å, from a PBE-relaxed structure.
Kinematic intensities with the Lorentz-polarization factor, no thermal factor.

Structural model:
```
18
Lattice="7.4222 -3.9158 0.0000 7.4222 3.9158 0.0000 0.0000 0.0000 7.9167" Properties=species:S:1:pos:R:3 pbc="T T T"
Pm 0.0000 0.0000 0.0000
Pm 5.4233 2.6185 5.2345
Pm 5.4233 1.2973 1.2762
Pm 9.4211 2.6185 5.2345
Pm 9.4211 1.2973 1.2762
Pm 7.4222 0.0000 3.9583
Pm 5.4233 -1.2973 6.6405
Pm 5.4233 -2.6185 2.6822
Pm 9.4211 -1.2973 6.6405
Pm 9.4211 -2.6185 2.6822
Ge 2.9999 0.0000 0.0000
Ge 4.4223 0.0000 3.9583
Ge 10.4221 0.0000 3.9583
Ge 11.8445 0.0000 0.0000
P 7.4222 2.7988 2.8214
P 7.4222 1.1170 6.7798
P 7.4222 -1.1170 1.1369
P 7.4222 -2.7988 5.0952
```

Most intense lines, 15° ≤ 2θ ≤ 90°, in order of rising 2θ:
| 2theta | intensity |
| --- | --- |
| 25.4 | 70.1 |
| 25.9 | 57.3 |
| 31.1 | 100.0 |
| 32.2 | 46.9 |
| 33.1 | 45.5 |
| 33.3 | 51.0 |
| 34.2 | 52.2 |
| 35.2 | 88.6 |
| 36.4 | 65.3 |
| 36.8 | 66.7 |

---

# 11
Calculated X-ray powder pattern of FeMo2Ru for a wavelength of 1.5418 Å, from a PBE-relaxed structure.
Kinematic intensities with the Lorentz-polarization factor, no thermal factor.

Structural model:
```
4
Lattice="3.1160 0.0000 0.0000 0.0000 3.1160 0.0000 0.0000 0.0000 5.9669" Properties=species:S:1:pos:R:3 pbc="T T T"
Fe 0.0000 0.0000 0.0000
Mo 0.0000 0.0000 2.9556
Mo 1.5580 1.5580 1.3404
Ru 1.5580 1.5580 4.4666
```

Most intense lines, 15° ≤ 2θ ≤ 90°, in order of rising 2θ:
| 2theta | intensity |
| --- | --- |
| 28.6 | 2.2 |
| 32.4 | 4.8 |
| 41.0 | 54.5 |
| 41.9 | 100.0 |
| 59.3 | 17.5 |
| 62.2 | 7.0 |
| 63.0 | 1.7 |
| 75.3 | 33.7 |
| 77.2 | 14.9 |
| 88.8 | 5.8 |

---

# 12
Calculated X-ray powder pattern of Br2Cl6F for a wavelength of 1.5418 Å, from a PBE-relaxed structure.
Kinematic intensities with the Lorentz-polarization factor, no thermal factor.

Structural model:
```
18
Lattice="6.3242 -3.8132 0.0000 6.3242 3.8132 0.0000 -1.8291 0.0000 13.0376" Properties=species:S:1:pos:R:3 pbc="T T T"
Br 2.2356 1.6085 4.9907
Br 1.3211 -1.6085 11.5095
Br 9.4983 1.6085 1.5281
Br 8.5837 -1.6085 8.0469
Cl 4.1421 2.3614 4.1140
Cl 2.7887 2.0388 12.8380
Cl 4.3844 1.4975 11.7486
Cl 7.5918 2.3614 2.4048
Cl 5.5204 1.4975 7.8077
Cl 7.1161 2.0388 6.7184
Cl 3.7032 -2.0388 6.3192
Cl 5.2990 -1.4975 5.2299
Cl 3.2276 -2.3614 10.6328
Cl 6.4349 -1.4975 1.2889
Cl 8.0307 -2.0388 0.1996
Cl 6.6772 -2.3614 8.9236
F 5.8670 3.1679 3.2594
F 4.9524 -3.1679 9.7782
```

Most intense lines, 15° ≤ 2θ ≤ 90°, in order of rising 2θ:
| 2theta | intensity |
| --- | --- |
| 15.6 | 15.5 |
| 23.3 | 65.8 |
| 24.4 | 17.2 |
| 25.4 | 100.0 |
| 26.1 | 33.5 |
| 27.4 | 17.6 |
| 33.2 | 13.0 |
| 36.2 | 11.6 |
| 37.5 | 18.6 |
| 42.7 | 13.7 |

---

# 13
Calculated X-ray powder pattern of BeFe2Co2 for a wavelength of 1.5418 Å, from a PBE-relaxed structure.
Kinematic intensities with the Lorentz-polarization factor, no thermal factor.

Structural model:
```
10
Lattice="6.6275 0.0000 0.0000 0.0000 6.6275 0.0000 0.0000 0.0000 2.6593" Properties=species:S:1:pos:R:3 pbc="T T T"
Be 0.0000 0.0000 0.0000
Be 3.3137 3.3137 0.0000
Fe 0.9797 2.3340 0.0000
Fe 2.3340 5.6478 0.0000
Fe 4.2934 0.9797 0.0000
Fe 5.6478 4.2934 0.0000
Co 1.0012 4.3149 1.3296
Co 2.3125 1.0012 1.3296
Co 4.3149 5.6263 1.3296
Co 5.6263 2.3125 1.3296
```

Most intense lines, 15° ≤ 2θ ≤ 90°, in order of rising 2θ:
| 2theta | intensity |
| --- | --- |
| 18.9 | 46.5 |
| 26.9 | 14.6 |
| 43.2 | 34.7 |
| 45.8 | 100.0 |
| 55.5 | 14.3 |
| 59.1 | 14.1 |
| 61.3 | 6.0 |
| 68.2 | 10.1 |
| 86.7 | 7.9 |
| 87.3 | 20.5 |